Theoretical X-ray powder pattern
Compound: Ba3Bi2RuO9
Radiation: Cu Ka
Structure: a cell relaxed with PBE
Neutral-atom scattering factors, no anomalous dispersion.

a b c (Å): 6.1097 8.6720 10.5564
angles (deg): 66.23 73.40 89.73
Fractional coordinates of all 30 atoms:
Ba: 0.0015 0.2451 0.4969
Ba: 0.3269 0.0739 0.8406
Ba: 0.3323 0.5871 0.8374
Ba: 0.6677 0.4129 0.1626
Ba: 0.6731 0.9261 0.1594
Ba: 0.9985 0.7549 0.5031
Bi: 0.1687 0.6681 0.1638
Bi: 0.5000 0.0000 0.5000
Bi: 0.5000 0.5000 0.5000
Bi: 0.8313 0.3319 0.8362
Ru: 0.1662 0.1660 0.1680
Ru: 0.8338 0.8340 0.8320
O: 0.0498 0.2788 0.9985
O: 0.1491 0.4298 0.6434
O: 0.1489 0.9493 0.1437
O: 0.1582 0.8991 0.6962
O: 0.1843 0.3871 0.1856
O: 0.2825 0.0522 0.3391
O: 0.3813 0.6241 0.3136
O: 0.4821 0.2675 0.4767
O: 0.4902 0.2291 0.0371
O: 0.5098 0.7709 0.9629
O: 0.5179 0.7325 0.5233
O: 0.6187 0.3759 0.6864
O: 0.7175 0.9478 0.6609
O: 0.8157 0.6129 0.8144
O: 0.8418 0.1009 0.3038
O: 0.8511 0.0507 0.8563
O: 0.8509 0.5702 0.3566
O: 0.9502 0.7212 0.0015

Principal peaks in the range 2θ from 10° to 90°, by angle:
2θ (°)	intensity
28.96	33
29.18	100
29.27	66
41.65	37
41.91	18
51.59	22
51.86	34
60.69	17

---

Theoretical X-ray powder pattern
Compound: Ba3BiRu2O9
Radiation: Cu Ka
Structure: a cell relaxed with PBE
Neutral-atom scattering factors, no anomalous dispersion.

a b c (Å): 6.0218 6.0218 14.8554
angles (deg): 90.82 90.82 120.09
Fractional coordinates of all 30 atoms:
Ba: 0.0026 0.9974 0.7500
Ba: 0.3302 0.6614 0.4043
Ba: 0.3386 0.6698 0.0957
Ba: 0.6614 0.3302 0.9043
Ba: 0.6698 0.3386 0.5957
Ba: 0.9974 0.0026 0.2500
Bi: 0.0000 0.0000 0.0000
Bi: 0.0000 0.0000 0.5000
Ru: 0.3220 0.6539 0.8341
Ru: 0.3461 0.6780 0.6659
Ru: 0.6539 0.3220 0.3341
Ru: 0.6780 0.3461 0.1659
O: 0.0262 0.5022 0.7399
O: 0.1355 0.3285 0.8998
O: 0.1465 0.8015 0.9039
O: 0.1985 0.8535 0.5961
O: 0.2201 0.3954 0.5755
O: 0.3285 0.1355 0.3998
O: 0.3954 0.2201 0.0755
O: 0.4911 0.5089 0.7500
O: 0.4978 0.9738 0.7601
O: 0.5022 0.0262 0.2399
O: 0.5089 0.4911 0.2500
O: 0.6046 0.7799 0.9245
O: 0.6715 0.8645 0.6002
O: 0.7799 0.6046 0.4245
O: 0.8015 0.1465 0.4039
O: 0.8535 0.1985 0.0961
O: 0.8645 0.6715 0.1002
O: 0.9738 0.4978 0.2601

Principal peaks in the range 2θ from 10° to 90°, by angle:
2θ (°)	intensity
29.19	27
29.53	26
29.69	100
29.90	23
41.87	14
42.35	14
42.92	13
52.69	20

---

Copy entry 1 word for word.
Theoretical X-ray powder pattern
Compound: Ba3Bi2RuO9
Radiation: Cu Ka
Structure: a cell relaxed with PBE
Neutral-atom scattering factors, no anomalous dispersion.

a b c (Å): 6.1097 8.6720 10.5564
angles (deg): 66.23 73.40 89.73
Fractional coordinates of all 30 atoms:
Ba: 0.0015 0.2451 0.4969
Ba: 0.3269 0.0739 0.8406
Ba: 0.3323 0.5871 0.8374
Ba: 0.6677 0.4129 0.1626
Ba: 0.6731 0.9261 0.1594
Ba: 0.9985 0.7549 0.5031
Bi: 0.1687 0.6681 0.1638
Bi: 0.5000 0.0000 0.5000
Bi: 0.5000 0.5000 0.5000
Bi: 0.8313 0.3319 0.8362
Ru: 0.1662 0.1660 0.1680
Ru: 0.8338 0.8340 0.8320
O: 0.0498 0.2788 0.9985
O: 0.1491 0.4298 0.6434
O: 0.1489 0.9493 0.1437
O: 0.1582 0.8991 0.6962
O: 0.1843 0.3871 0.1856
O: 0.2825 0.0522 0.3391
O: 0.3813 0.6241 0.3136
O: 0.4821 0.2675 0.4767
O: 0.4902 0.2291 0.0371
O: 0.5098 0.7709 0.9629
O: 0.5179 0.7325 0.5233
O: 0.6187 0.3759 0.6864
O: 0.7175 0.9478 0.6609
O: 0.8157 0.6129 0.8144
O: 0.8418 0.1009 0.3038
O: 0.8511 0.0507 0.8563
O: 0.8509 0.5702 0.3566
O: 0.9502 0.7212 0.0015

Principal peaks in the range 2θ from 10° to 90°, by angle:
2θ (°)	intensity
28.96	33
29.18	100
29.27	66
41.65	37
41.91	18
51.59	22
51.86	34
60.69	17

---

What is the formula in the second record? Ba3BiRu2O9